Simulated X-ray powder pattern of Mg6Tl5Ag for λ = 1.5418 Å (Cu Kα), from the PBE geometry in Alexandria.

Atomic structure:
```
12
Lattice="4.686 -7.195 0.000 4.686 7.195 0.000 -2.629 0.000 4.232" Properties=species:S:1:pos:R:3 pbc="T T T"
Mg 0.252 2.309 3.095
Mg 1.451 0.000 0.927
Mg 0.252 -2.309 3.095
Mg 6.490 2.309 1.137
Mg 5.291 0.000 3.305
Mg 6.490 -2.309 1.137
Tl 4.686 4.664 0.000
Tl 3.371 2.277 2.116
Tl 4.686 0.000 0.000
Tl 3.371 -2.277 2.116
Tl 4.686 -4.664 0.000
Ag -1.315 0.000 2.116
```

Top 10 peaks for 10 to 90 degrees two-theta, in order of rising 2θ:
d_spacing, Rel. int.
3.980, 73.2
3.456, 100.0
2.614, 86.1
2.605, 83.7
2.491, 38.6
2.398, 31.7
2.054, 23.3
1.990, 21.7
1.728, 38.8
1.422, 22.2